Starting from a DFT-relaxed cell (GGA-PBE, Alexandria), the XRD peak list of Eu2AlP3Pt7 was simulated for Cu Kα.
Kinematic intensities with the Lorentz-polarization factor, no thermal factor.

Structure:
```
data_Eu2AlP3Pt7
_chemical_formula_sum 'Eu4 Al2 P6 Pt14'
_symmetry_space_group_name_H-M 'I -4 m 2'
_symmetry_Int_Tables_number 119
_symmetry_space_group_name_Hall 'I -4 -2'
_cell_length_a 4.079
_cell_length_b 4.079
_cell_length_c 27.179
_cell_angle_alpha 90.00
_cell_angle_beta 90.00
_cell_angle_gamma 90.00
loop_
_atom_site_label
_atom_site_type_symbol
_atom_site_fract_x
_atom_site_fract_y
_atom_site_fract_z
Eu1 Eu 0.000 0.000 0.166
Al1 Al 0.000 0.000 0.000
P1 P 0.000 0.000 0.380
P2 P 0.000 0.500 0.750
Pt1 Pt 0.000 0.000 0.293
Pt2 Pt 0.000 0.000 0.500
Pt3 Pt 0.000 0.500 0.072
Pt4 Pt 0.000 0.500 0.570
```

Most intense lines, 2θ = 10–80°, sorted by position:
h k l, 2θ/deg, d [Å], I (rel.)
0 0 8, 26.23, 3.397, 14.8
1 1 2, 31.71, 2.822, 34.6
1 1 6, 36.97, 2.431, 100.0
2 0 0, 44.42, 2.040, 43.2
2 1 9, 59.17, 1.561, 14.4
2 2 0, 64.63, 1.442, 14.3
2 1 15, 73.73, 1.285, 14.2
3 1 6, 76.85, 1.240, 20.9